Computed powder XRD pattern of Rb3AsO3 for a wavelength of 1.5418 Å, from the PBE geometry in Alexandria.
Peak positions follow from Bragg's law for the DFT cell and can differ from measured ones.

Largest 10 diffraction maxima, by intensity, 5° ≤ 2θ ≤ 70°:
- 28.32°, intensity 100.0
- 23.90°, intensity 41.9
- 30.23°, intensity 32.5
- 42.03°, intensity 29.7
- 52.56°, intensity 28.0
- 38.90°, intensity 22.3
- 52.65°, intensity 20.1
- 51.46°, intensity 19.9
- 68.53°, intensity 18.3
- 69.44°, intensity 8.2

Structural model:
Lattice parameters (Å, degrees): 8.597 8.597 5.913 90.00 90.00 119.94
Element x y z (fractional)
Rb  0.176  0.824  0.750
Rb  0.177  0.353  0.750
Rb  0.353  0.177  0.250
Rb  0.647  0.823  0.750
Rb  0.823  0.647  0.250
Rb  0.824  0.176  0.250
As  0.333  0.667  0.250
As  0.667  0.333  0.750
O  0.208  0.792  0.250
O  0.209  0.417  0.250
O  0.417  0.209  0.750
O  0.583  0.791  0.250
O  0.791  0.583  0.750
O  0.792  0.208  0.750